The following is a calculated XRD peak list of LiNpNbO6. It was derived from a cell relaxed with PBE, using CuKα.

Atomic structure:
abc: 5.5022 5.5022 9.4756
angles: 90.00 90.00 120.00
Space group P-31c (No. 163)
Asymmetric unit:
Li  0.0000  0.0000  0.0000 (multiplicity 2)
Np  0.3333  0.6667  0.2500 (multiplicity 2)
Nb  0.3333  0.6667  0.7500 (multiplicity 2)
O  0.0066  0.3682  0.6382 (multiplicity 12)

Largest 8 diffraction maxima, sorted by position, 5 to 70 degrees two-theta:
d/Å  intensity
4.765  74
4.738  98
4.257  49
3.360  64
2.751  52
2.379  100
1.795  52
1.506  24

The following is a calculated XRD peak list of Li2NbO4. It was derived from a cell relaxed with PBE, using CuKα.

Atomic structure:
abc: 11.0253 3.1476 5.1712
angles: 90.00 108.42 90.00
Space group C2/m (No. 12)
Asymmetric unit:
Li  0.1682  0.0000  0.0834 (multiplicity 4)
Nb  0.0000  0.5000  0.5000 (multiplicity 2)
O  0.0796  0.0000  0.3559 (multiplicity 4)
O  0.1423  0.5000  0.8410 (multiplicity 4)

Largest 8 diffraction maxima, sorted by position, 5 to 70 degrees two-theta:
d/Å  intensity
5.230  100
4.906  66
4.325  86
3.120  35
3.014  32
2.681  52
2.308  43
1.993  22

The following is a calculated XRD peak list of LiNb8O10. It was derived from a cell relaxed with PBE, using CuKα.

Atomic structure:
abc: 6.1328 6.1328 25.8738
angles: 90.00 90.00 90.00
Space group I4_1/amd (No. 141, origin choice 2)
Asymmetric unit:
Li  0.0000  0.2500  0.3750 (multiplicity 4)
Nb  0.0000  0.0041  0.0756 (multiplicity 16)
Nb  0.0000  0.0063  0.7511 (multiplicity 16)
O  0.0000  0.0000  0.5000 (multiplicity 8)
O  0.0000  0.0168  0.6677 (multiplicity 16)
O  0.0000  0.0207  0.8370 (multiplicity 16)

Largest 8 diffraction maxima, sorted by position, 5 to 70 degrees two-theta:
d/Å  intensity
6.468  36
5.967  71
3.166  26
2.499  100
2.168  80
2.156  34
1.533  25
1.529  43

The following is a calculated XRD peak list of LiNb2O4. It was derived from a cell relaxed with PBE, using CuKα.

Atomic structure:
abc: 5.1620 10.6864 2.9657
angles: 90.00 90.00 90.00
Space group Pnnm (No. 58)
Asymmetric unit:
Li  0.0000  0.0000  0.0000 (multiplicity 2)
Nb  0.1453  0.2567  0.5000 (multiplicity 4)
O  0.1696  0.8709  0.5000 (multiplicity 4)
O  0.1969  0.6377  0.5000 (multiplicity 4)

Largest 8 diffraction maxima, sorted by position, 5 to 70 degrees two-theta:
d/Å  intensity
5.343  100
2.572  16
2.509  17
2.500  17
2.317  19
2.090  20
2.085  30
1.645  25

The following is a calculated XRD peak list of LiNb10O18. It was derived from a cell relaxed with PBE, using CuKα.

Atomic structure:
abc: 7.9289 9.4822 10.4087
angles: 90.00 110.37 90.00
Space group P2_1/c (No. 14)
Asymmetric unit:
Li  0.0000  0.0000  0.0000 (multiplicity 2)
Nb  0.0037  0.1156  0.6690 (multiplicity 4)
Nb  0.1802  0.6298  0.1224 (multiplicity 4)
Nb  0.1970  0.1268  0.4816 (multiplicity 4)
Nb  0.3962  0.1140  0.2716 (multiplicity 4)
Nb  0.3970  0.6285  0.4385 (multiplicity 4)
O  0.0094  0.2379  0.8505 (multiplicity 4)
O  0.1967  0.7481  0.4603 (multiplicity 4)
O  0.1982  0.0065  0.3019 (multiplicity 4)
O  0.1996  0.5125  0.3038 (multiplicity 4)
O  0.2029  0.2481  0.1467 (multiplicity 4)
O  0.3933  0.0083  0.0982 (multiplicity 4)
O  0.4001  0.5030  0.1070 (multiplicity 4)
O  0.4107  0.7357  0.2733 (multiplicity 4)
O  0.4175  0.2445  0.4322 (multiplicity 4)

Largest 8 diffraction maxima, sorted by position, 5 to 70 degrees two-theta:
d/Å  intensity
6.800  67
5.761  80
4.264  47
3.478  100
2.881  42
2.510  67
2.011  54
2.009  47

The following is a calculated XRD peak list of Li6NbO6. It was derived from a cell relaxed with PBE, using CuKα.

Atomic structure:
abc: 6.2785 8.8479 9.0958
angles: 90.00 90.55 90.00
Space group C2/c (No. 15)
Asymmetric unit:
Li  0.0580  0.0438  0.1231 (multiplicity 8)
Li  0.0910  0.3625  0.8640 (multiplicity 8)
Li  0.1895  0.4027  0.1667 (multiplicity 8)
Nb  0.2500  0.2500  0.5000 (multiplicity 4)
O  0.0392  0.1642  0.9428 (multiplicity 8)
O  0.1111  0.4267  0.3996 (multiplicity 8)
O  0.2327  0.1309  0.3091 (multiplicity 8)

Largest 8 diffraction maxima, sorted by position, 5 to 70 degrees two-theta:
d/Å  intensity
4.548  51
4.477  94
4.447  100
4.424  32
3.171  42
2.598  29
2.560  49
1.990  32

The following is a calculated XRD peak list of Li7Nb8O24. It was derived from a cell relaxed with PBE, using CuKα.

Atomic structure:
abc: 5.2625 9.0275 9.9020
angles: 72.54 89.96 89.64
Space group P1 (No. 1)
Asymmetric unit:
Li  0.0000  0.0000  0.0000 (multiplicity 1)
Li  0.0006  0.2507  0.2499 (multiplicity 1)
Li  0.0083  0.7484  0.7576 (multiplicity 1)
Li  0.4905  0.2561  0.7400 (multiplicity 1)
Li  0.4953  0.5065  0.0000 (multiplicity 1)
Li  0.4982  0.0092  0.4911 (multiplicity 1)
Li  0.4997  0.7559  0.2412 (multiplicity 1)
Nb  0.9998  0.8620  0.4139 (multiplicity 1)
Nb  0.0053  0.3634  0.9204 (multiplicity 1)
Nb  0.4978  0.1164  0.1683 (multiplicity 1)
Nb  0.5017  0.3692  0.4137 (multiplicity 1)
Nb  0.5027  0.8642  0.9211 (multiplicity 1)
Nb  0.5137  0.6185  0.6735 (multiplicity 1)
Nb  0.9904  0.1154  0.6741 (multiplicity 1)
Nb  0.9987  0.6129  0.1714 (multiplicity 1)
O  0.1175  0.4717  0.0712 (multiplicity 1)
O  0.1301  0.9719  0.5710 (multiplicity 1)
O  0.1770  0.1681  0.0723 (multiplicity 1)
O  0.1789  0.6962  0.5873 (multiplicity 1)
O  0.1929  0.7905  0.0729 (multiplicity 1)
O  0.2068  0.2719  0.5722 (multiplicity 1)
O  0.3045  0.0405  0.8264 (multiplicity 1)
O  0.3120  0.4178  0.8233 (multiplicity 1)
O  0.3125  0.5451  0.3130 (multiplicity 1)
O  0.3146  0.9165  0.3197 (multiplicity 1)
O  0.3740  0.2219  0.3228 (multiplicity 1)
O  0.3790  0.7179  0.8316 (multiplicity 1)
O  0.5769  0.4750  0.5732 (multiplicity 1)
O  0.6228  0.9724  0.0744 (multiplicity 1)
O  0.6824  0.6687  0.0746 (multiplicity 1)
O  0.6860  0.1704  0.5704 (multiplicity 1)
O  0.6872  0.2927  0.0699 (multiplicity 1)
O  0.6908  0.7955  0.5701 (multiplicity 1)
O  0.8021  0.5428  0.8215 (multiplicity 1)
O  0.8026  0.0434  0.3230 (multiplicity 1)
O  0.8133  0.4148  0.3166 (multiplicity 1)
O  0.8204  0.9141  0.8236 (multiplicity 1)
O  0.8717  0.7258  0.3188 (multiplicity 1)
O  0.8731  0.2224  0.8220 (multiplicity 1)

Largest 8 diffraction maxima, sorted by position, 5 to 70 degrees two-theta:
d/Å  intensity
3.839  91
3.820  91
3.800  90
2.792  100
2.631  20
2.619  20
2.605  19
1.757  36